The following is a calculated XRD peak list of Te3WO12. It was derived from the GGA+U geometry in Alexandria, using Cu Kα (λ = 1.5418 Å).

Most intense lines, 15° ≤ 2θ ≤ 90°, most intense first:
hkl  2θ/deg  Rel. int.
1 1 0  20.60  100.0
0 1 1  19.88  49.4
1 2 -1  32.11  32.6
1 2 1  32.82  30.8
0 3 1  35.98  19.3
1 1 2  40.82  19.1
2 3 -1  51.26  14.2
1 1 -2  39.66  14.0

Structural model:
```
data_Te3WO12
_space_group_name_H-M_alt 'P 1 2 1'
_space_group_IT_number 3
_cell_length_a 5.0050
_cell_length_b 8.5141
_cell_length_c 5.2492
_cell_angle_alpha 90.00
_cell_angle_beta 92.08
_cell_angle_gamma 90.00
loop_
_space_group_symop_operation_xyz
'x,y,z'
'-x,y,-z'
loop_
_atom_site_label
_atom_site_type_symbol
_atom_site_fract_x
_atom_site_fract_y
_atom_site_fract_z
Te1 Te 0.0000 0.0000 0.0000
Te2 Te 0.0000 0.1811 0.5000
Te3 Te 0.5000 0.6895 0.0000
W1 W 0.5000 0.5002 0.5000
O1 O 0.2065 0.1662 0.8218
O2 O 0.2129 0.0202 0.3201
O3 O 0.2432 0.3441 0.3948
O4 O 0.2476 0.8474 0.8644
O5 O 0.2925 0.5286 0.8073
O6 O 0.2978 0.6655 0.3069
```